Diffraction record for Na2Ni3O7. The X-ray powder pattern is computed, not measured: it uses a crystal structure in Alexandria, relaxed with PBE+U and λ = 1.5418 Å (Cu Kα).
Peak positions follow from Bragg's law for the DFT cell and can differ from measured ones.

Principal peaks in the range 10° ≤ 2θ ≤ 90°, sorted by position:
2θ (°)	I_rel
15.6	100.0
31.4	9.9
36.9	12.0
38.0	18.0
38.1	8.7
45.3	12.0
45.4	12.3
45.5	12.4
52.7	6.7
65.6	5.2
65.7	6.6
68.0	4.4

Cell and atoms:
```
data_Na2Ni3O7
_space_group_name_H-M_alt 'P 1'
_space_group_IT_number 1
_space_group_name_Hall 'P 1'
_cell_length_a 6.567
_cell_length_b 7.175
_cell_length_c 7.519
_cell_angle_alpha 102.84
_cell_angle_beta 109.33
_cell_angle_gamma 113.72
loop_
_atom_site_label
_atom_site_type_symbol
_atom_site_fract_x
_atom_site_fract_y
_atom_site_fract_z
Na1 Na 0.000 0.000 0.000
Na2 Na 0.144 0.657 0.145
Na3 Na 0.463 0.952 0.788
Na4 Na 0.789 0.300 0.609
Ni1 Ni 0.138 0.144 0.712
Ni2 Ni 0.280 0.290 0.429
Ni3 Ni 0.431 0.429 0.143
Ni4 Ni 0.566 0.568 0.857
Ni5 Ni 0.709 0.713 0.570
Ni6 Ni 0.852 0.859 0.287
O1 O 0.008 0.842 0.545
O2 O 0.160 0.345 0.197
O3 O 0.165 0.990 0.294
O4 O 0.266 0.442 0.888
O5 O 0.329 0.148 0.959
O6 O 0.418 0.594 0.608
O7 O 0.433 0.268 0.682
O8 O 0.558 0.728 0.316
O9 O 0.574 0.410 0.395
O10 O 0.662 0.848 0.035
O11 O 0.732 0.562 0.114
O12 O 0.823 0.014 0.708
O13 O 0.837 0.652 0.801
O14 O 0.984 0.163 0.456
```